Starting from the GGA-PBE geometry in Alexandria, the powder diffraction line list of Pr2MgGa3 was computed for Cu Kα.
Neutral-atom scattering factors, no anomalous dispersion.

Most intense lines, 15° ≤ 2θ ≤ 90°, most intense first:
2.771 Å, I = 1000, (2 2 2); 2.305 Å, I = 335, (0 2 6); 3.998 Å, I = 199, (0 2 2); 1.776 Å, I = 179, (2 4 4); 2.315 Å, I = 170, (0 4 0); 1.476 Å, I = 161, (4 2 6); 1.922 Å, I = 98, (4 0 0); 1.770 Å, I = 87, (2 0 8)

Structural model:
Lattice parameters (Å, degrees): 7.6895 9.2589 15.9477 90.00 90.00 90.00
Space group Fmmm (No. 69)
One atom of each set of equivalent atoms:
Pr  0.2475  0.0000  0.0000 (multiplicity 8)
Pr  0.2500  0.2500  0.2500 (multiplicity 8)
Mg  0.0000  0.0000  0.3328 (multiplicity 8)
Ga  0.0000  0.0000  0.1634 (multiplicity 8)
Ga  0.0000  0.2450  0.0819 (multiplicity 16)

Starting from the GGA-PBE geometry in Alexandria, the powder diffraction line list of CeIn3Br6 was computed for Cu Kα.
Neutral-atom scattering factors, no anomalous dispersion.

Most intense lines, 15° ≤ 2θ ≤ 90°, most intense first:
2.228 Å, I = 1000, (3 1 -5); 2.845 Å, I = 912, (0 0 4); 3.966 Å, I = 870, (1 1 -3); 4.169 Å, I = 865, (1 1 1); 2.905 Å, I = 799, (2 2 -2); 2.336 Å, I = 787, (3 1 -1); 3.104 Å, I = 714, (1 1 -4); 2.662 Å, I = 576, (1 3 0)

Structural model:
Lattice parameters (Å, degrees): 7.8103 8.7176 13.3769 90.00 121.79 90.00
Space group P2_1/c (No. 14)
One atom of each set of equivalent atoms:
Ce  0.0000  0.0000  0.0000 (multiplicity 2)
In  0.3023  0.0801  0.7774 (multiplicity 4)
In  0.5000  0.0000  0.5000 (multiplicity 2)
Br  0.0908  0.0686  0.2376 (multiplicity 4)
Br  0.2495  0.7231  0.0860 (multiplicity 4)
Br  0.3591  0.1657  0.0426 (multiplicity 4)